No. 1
# Ti4H3Pd2
Theoretical powder diffractogram, CuKα. Input: the GGA-PBE geometry in Alexandria.
Kinematic intensities with the Lorentz-polarization factor, no thermal factor.

Most intense lines, 15 to 90 degrees two-theta, sorted by position:
2θ/deg, d_spacing, intensity, index
28.44, 3.139, 6, 0 0 4
32.23, 2.778, 15, 1 0 1
38.22, 2.355, 100, 1 0 3
43.24, 2.092, 18, 0 0 6
45.01, 2.014, 32, 1 1 0
64.18, 1.451, 20, 1 1 6
65.55, 1.424, 10, 2 0 0
75.96, 1.253, 12, 1 0 9
78.49, 1.219, 22, 2 1 3
81.81, 1.177, 10, 2 0 6

Cell and atoms:
abc: 2.8483 2.8483 12.5549
angles: 90.00 90.00 90.00
Space group P4/mmm (No. 123)
Asymmetric unit:
Ti (0.0000, 0.0000, 0.1615)
Ti (0.5000, 0.5000, 0.3264)
H (0.5000, 0.5000, 0.1760)
H (0.5000, 0.5000, 0.5000)
Pd (0.0000, 0.0000, 0.5000)
Pd (0.5000, 0.5000, 0.0000)

No. 2
# TiH6Pd12
Theoretical powder diffractogram, CuKα. Input: the GGA-PBE geometry in Alexandria.
Kinematic intensities with the Lorentz-polarization factor, no thermal factor.

Most intense lines, 15 to 90 degrees two-theta, sorted by position:
2θ/deg, d_spacing, intensity, index
33.25, 2.695, 26, 2 2 0
37.31, 2.410, 100, 1 2 2
41.02, 2.200, 40, 0 0 3
44.47, 2.037, 76, 4 1 0
47.73, 1.906, 10, 0 4 2
53.79, 1.704, 9, 4 -2 3
72.28, 1.307, 42, 3 5 1
74.73, 1.270, 10, 0 6 3
77.14, 1.236, 33, 8 -3 2
86.63, 1.124, 9, 9 -7 1

Cell and atoms:
abc: 10.7752 10.7752 6.6058
angles: 90.00 90.00 120.00
Space group R-3 (No. 148, hexagonal axes)
Asymmetric unit:
Ti (0.0000, 0.0000, 0.0000)
H (0.0184, 0.8174, 0.3401)
Pd (0.0206, 0.8563, 0.6760)
Pd (0.0397, 0.7751, 0.0805)

No. 3
# Ti2H2Pd
Theoretical powder diffractogram, CuKα. Input: the GGA-PBE geometry in Alexandria.
Kinematic intensities with the Lorentz-polarization factor, no thermal factor.

Most intense lines, 15 to 90 degrees two-theta, sorted by position:
2θ/deg, d_spacing, intensity, index
21.22, 4.186, 30, 1 1 0
22.65, 3.925, 15, 1 1 -1
28.58, 3.123, 16, 0 2 1
37.36, 2.407, 58, 2 0 0
37.77, 2.382, 100, 1 3 -1
38.98, 2.310, 51, 0 0 2
40.75, 2.214, 47, 2 0 -2
45.75, 1.983, 59, 1 3 1
61.78, 1.502, 22, 3 3 -1
64.04, 1.454, 21, 1 3 -3

Cell and atoms:
abc: 5.3433 8.4753 5.1281
angles: 90.00 115.70 90.00
Space group C2/c (No. 15)
Asymmetric unit:
Ti (0.0000, 0.0759, 0.2500)
Ti (0.0000, 0.2717, 0.7500)
H (0.1717, 0.1023, 0.0010)
Pd (0.0000, 0.3976, 0.2500)

No. 4
# TlH3Pd6
Theoretical powder diffractogram, CuKα. Input: the GGA-PBE geometry in Alexandria.
Kinematic intensities with the Lorentz-polarization factor, no thermal factor.

Most intense lines, 15 to 90 degrees two-theta, sorted by position:
2θ/deg, d_spacing, intensity, index
30.10, 2.969, 41, 0 0 1
33.99, 2.637, 52, 0 2 1
36.78, 2.444, 83, 3 1 0
39.53, 2.280, 78, 2 4 0
40.28, 2.239, 100, 1 3 1
41.10, 2.196, 59, 1 5 0
41.87, 2.158, 55, 2 2 1
48.23, 1.887, 47, 3 1 1
50.47, 1.808, 37, 2 4 1
76.53, 1.245, 52, 3 7 1

Cell and atoms:
abc: 7.5027 11.4846 2.9692
angles: 90.00 90.00 90.00
Space group Cmmm (No. 65)
Asymmetric unit:
Tl (0.0000, 0.0000, 0.0000)
H (0.0000, 0.5000, 0.0000)
H (0.2500, 0.2500, 0.5000)
Pd (0.0000, 0.2048, 0.5000)
Pd (0.1848, 0.3756, 0.0000)

No. 5
# TlH2Pd3
Theoretical powder diffractogram, CuKα. Input: the GGA-PBE geometry in Alexandria.
Kinematic intensities with the Lorentz-polarization factor, no thermal factor.

Most intense lines, 15 to 90 degrees two-theta, sorted by position:
2θ/deg, d_spacing, intensity, index
29.00, 3.079, 27, 1 2 1
34.83, 2.576, 39, 1 1 2
35.35, 2.539, 100, 0 2 2
36.31, 2.474, 83, 2 1 1
37.29, 2.411, 47, 2 2 0
39.24, 2.296, 59, 0 4 0
46.12, 1.968, 43, 2 3 1
48.12, 1.891, 26, 2 2 2
77.09, 1.237, 20, 4 2 2
83.43, 1.159, 19, 2 4 4

Cell and atoms:
abc: 5.6671 9.1838 6.0945
angles: 90.00 90.00 90.00
Space group Imma (No. 74)
Asymmetric unit:
Tl (0.0000, 0.2500, 0.1623)
H (0.0000, 0.1167, 0.6467)
Pd (0.2407, 0.0000, 0.5000)
Pd (0.2500, 0.2500, 0.7500)

No. 6
# Tl2H4Pd3
Theoretical powder diffractogram, CuKα. Input: the GGA-PBE geometry in Alexandria.
Kinematic intensities with the Lorentz-polarization factor, no thermal factor.

Most intense lines, 15 to 90 degrees two-theta, sorted by position:
2θ/deg, d_spacing, intensity, index
18.85, 4.707, 29, 0 2 0
25.71, 3.465, 28, 0 2 2
32.34, 2.769, 100, 1 1 3
38.01, 2.368, 67, 2 2 0
38.24, 2.353, 33, 0 4 0
40.10, 2.249, 14, 0 2 4
42.47, 2.128, 48, 1 3 3
58.12, 1.587, 19, 3 1 3
58.46, 1.579, 19, 1 5 3
67.69, 1.384, 24, 2 2 6

Cell and atoms:
abc: 5.4785 9.4139 10.2380
angles: 90.00 90.00 90.00
Space group Fmmm (No. 69)
Asymmetric unit:
Tl (0.0000, 0.0000, 0.1600)
H (0.0000, 0.1716, 0.3991)
Pd (0.0000, 0.0000, 0.5000)
Pd (0.2500, 0.2500, 0.0000)

No. 7
# VHPd3
Theoretical powder diffractogram, CuKα. Input: the GGA-PBE geometry in Alexandria.
Kinematic intensities with the Lorentz-polarization factor, no thermal factor.

Most intense lines, 15 to 90 degrees two-theta, sorted by position:
2θ/deg, d_spacing, intensity, index
31.04, 2.881, 18, 0 2 2
34.58, 2.594, 41, 1 -1 0
34.69, 2.586, 47, 0 2 -1
39.00, 2.309, 56, 0 1 3
40.55, 2.225, 28, 0 3 2
41.07, 2.198, 45, 0 3 0
42.75, 2.115, 100, 1 2 2
43.39, 2.085, 99, 1 1 -1
63.72, 1.460, 23, 1 -4 0
66.97, 1.397, 17, 2 0 1

Cell and atoms:
abc: 2.7944 7.0580 7.0697
angles: 69.45 78.65 89.95
Space group P-1 (No. 2)
Asymmetric unit:
V (0.2031, 0.3515, 0.0942)
H (0.0586, 0.8799, 0.3751)
Pd (0.1288, 0.6384, 0.2417)
Pd (0.3337, 0.9752, 0.8331)
Pd (0.4673, 0.7333, 0.5619)

No. 8
# VH2Pd3
Theoretical powder diffractogram, CuKα. Input: the GGA-PBE geometry in Alexandria.
Kinematic intensities with the Lorentz-polarization factor, no thermal factor.

Most intense lines, 15 to 90 degrees two-theta, sorted by position:
2θ/deg, d_spacing, intensity, index
38.83, 2.319, 34, 0 2 2
39.08, 2.305, 100, 1 2 0
45.05, 2.012, 22, 0 3 -1
45.53, 1.992, 44, 1 0 -2
65.73, 1.421, 7, -1 3 1
66.17, 1.412, 20, 0 1 5
66.51, 1.406, 7, 2 1 1
79.09, 1.211, 7, 1 5 -1
79.71, 1.203, 8, -2 1 1
79.87, 1.201, 12, 2 3 3

Cell and atoms:
abc: 2.8117 6.3645 7.4592
angles: 89.96 79.22 77.34
Space group P-1 (No. 2)
Asymmetric unit:
V (0.1165, 0.4445, 0.3254)
H (0.2574, 0.6245, 0.8596)
H (0.2693, 0.1112, 0.3510)
Pd (0.1273, 0.9328, 0.8125)
Pd (0.3754, 0.3180, 0.9277)
Pd (0.3872, 0.7877, 0.4410)

No. 9
# VH2Pd
Theoretical powder diffractogram, CuKα. Input: the GGA-PBE geometry in Alexandria.
Kinematic intensities with the Lorentz-polarization factor, no thermal factor.

Most intense lines, 15 to 90 degrees two-theta, sorted by position:
2θ/deg, d_spacing, intensity, index
18.39, 4.824, 22, 0 0 1
36.39, 2.469, 32, 1 0 0
37.28, 2.412, 27, 0 0 2
41.07, 2.198, 100, 1 0 1
53.09, 1.725, 22, 0 1 2
65.49, 1.425, 15, 1 1 0
69.81, 1.347, 19, 1 0 3
77.85, 1.227, 18, 1 1 2
80.28, 1.196, 13, 0 2 1
89.11, 1.099, 5, 2 0 2

Cell and atoms:
abc: 2.8506 2.8506 4.8238
angles: 90.00 90.00 120.00
Space group P3m1 (No. 156)
Asymmetric unit:
V (0.0000, 0.0000, 0.0000)
H (0.3333, 0.6667, 0.1528)
H (0.6667, 0.3333, 0.8219)
Pd (0.3333, 0.6667, 0.5249)

No. 10
# V2HPd
Theoretical powder diffractogram, CuKα. Input: the GGA-PBE geometry in Alexandria.
Kinematic intensities with the Lorentz-polarization factor, no thermal factor.

Most intense lines, 15 to 90 degrees two-theta, sorted by position:
2θ/deg, d_spacing, intensity, index
21.08, 4.214, 7, 1 1 1
34.76, 2.581, 61, 2 2 0
41.01, 2.201, 100, 3 1 1
42.92, 2.107, 18, 2 2 2
62.31, 1.490, 21, 4 2 2
66.56, 1.405, 30, 5 1 1
73.37, 1.290, 22, 4 4 0
83.82, 1.154, 9, 6 2 0
87.66, 1.113, 10, 5 3 3
88.94, 1.100, 6, 6 2 2

Cell and atoms:
abc: 7.2997 7.2997 7.2997
angles: 90.00 90.00 90.00
Space group Fd-3m (No. 227, origin choice 2)
Asymmetric unit:
V (0.0000, 0.0000, 0.0000)
H (0.1250, 0.1250, 0.1250)
Pd (0.1250, 0.1250, 0.6250)

No. 11
# YH4Pd
Theoretical powder diffractogram, CuKα. Input: the GGA-PBE geometry in Alexandria.
Kinematic intensities with the Lorentz-polarization factor, no thermal factor.

Most intense lines, 15 to 90 degrees two-theta, sorted by position:
2θ/deg, d_spacing, intensity, index
26.65, 3.345, 97, 0 2 0
29.82, 2.996, 74, 1 0 1
32.75, 2.734, 100, 1 1 1
37.85, 2.377, 70, 0 1 2
40.42, 2.232, 62, 1 2 1
51.05, 1.789, 29, 1 3 1
54.74, 1.677, 24, 0 3 2
56.78, 1.621, 22, 2 2 0
61.74, 1.502, 18, 1 1 3
63.68, 1.461, 45, 2 1 2

Cell and atoms:
abc: 3.7074 6.6907 5.0863
angles: 90.00 90.00 90.00
Space group Pmmn (No. 59, origin choice 2)
Asymmetric unit:
Y (0.2500, 0.2500, 0.1119)
H (0.2500, 0.2500, 0.6325)
H (0.2500, 0.5846, 0.0773)
H (0.2500, 0.7500, 0.6857)
Pd (0.2500, 0.7500, 0.3550)

No. 12
# YHPd3
Theoretical powder diffractogram, CuKα. Input: the GGA-PBE geometry in Alexandria.
Kinematic intensities with the Lorentz-polarization factor, no thermal factor.

Most intense lines, 15 to 90 degrees two-theta, sorted by position:
2θ/deg, d_spacing, intensity, index
36.74, 2.446, 35, 0 0 6
37.14, 2.421, 100, 2 0 2
43.04, 2.102, 66, 0 2 4
62.22, 1.492, 21, 2 0 8
62.77, 1.480, 20, 2 2 0
74.48, 1.274, 12, 0 2 10
74.99, 1.267, 24, 2 2 6
75.24, 1.263, 12, 0 4 2
78.14, 1.223, 4, 0 0 12
79.13, 1.210, 10, 4 0 4

Cell and atoms:
abc: 5.9215 5.9215 14.6786
angles: 90.00 90.00 120.00
Space group R-3m (No. 166, hexagonal axes)
Asymmetric unit:
Y (0.0000, 0.0000, 0.2494)
H (0.0000, 0.0000, 0.0821)
Pd (0.0149, 0.5075, 0.2492)